Simulated X-ray powder pattern of YUCSe2 for Cu Ka, from a PBE-relaxed structure.

Crystal structure
Lattice parameters (Å, degrees): 3.9183 3.9183 14.4722 90.00 90.00 90.00
Fractional coordinates of all 10 atoms:
Y1 0.2500 0.2500 0.1235
Y2 0.7500 0.7500 0.8765
U1 0.2500 0.2500 0.5809
U2 0.7500 0.7500 0.4191
C1 0.2500 0.7500 0.5000
C2 0.7500 0.2500 0.5000
Se1 0.2500 0.2500 0.3139
Se2 0.2500 0.2500 0.9101
Se3 0.7500 0.7500 0.0899
Se4 0.7500 0.7500 0.6861

The 10 most intense peaks (2θ from 10° to 80°), by intensity:
2theta	I/Imax	h k l
32.31	100	1 1 0
29.37	84	1 0 3
33.72	41	1 0 4
46.35	40	2 0 0
25.86	38	1 0 2
38.68	35	1 0 5
41.03	31	1 1 4
55.82	29	2 1 3
12.23	28	0 0 2
24.61	25	0 0 4

Simulated X-ray powder pattern of BaAlGa4 for Cu Ka, from a PBE-relaxed structure.

Crystal structure
Lattice parameters (Å, degrees): 8.3482 16.0932 4.1494 90.00 90.00 90.00
Fractional coordinates of all 24 atoms:
Ba1 0.1308 0.1499 0.0000
Ba2 0.3692 0.6499 0.0000
Ba3 0.6308 0.3501 0.0000
Ba4 0.8692 0.8501 0.0000
Al1 0.1410 0.4117 0.0000
Al2 0.3590 0.9117 0.0000
Al3 0.6410 0.0883 0.0000
Al4 0.8590 0.5883 0.0000
Ga1 0.0177 0.6919 0.5000
Ga2 0.1136 0.5467 0.5000
Ga3 0.1356 0.9648 0.5000
Ga4 0.2129 0.8125 0.5000
Ga5 0.2871 0.3125 0.5000
Ga6 0.3644 0.4648 0.5000
Ga7 0.3864 0.0467 0.5000
Ga8 0.4823 0.1919 0.5000
Ga9 0.5177 0.8081 0.5000
Ga10 0.6136 0.9533 0.5000
Ga11 0.6356 0.5352 0.5000
Ga12 0.7129 0.6875 0.5000
Ga13 0.7871 0.1875 0.5000
Ga14 0.8644 0.0352 0.5000
Ga15 0.8864 0.4533 0.5000
Ga16 0.9823 0.3081 0.5000

The 10 most intense peaks (2θ from 10° to 80°), by intensity:
2theta	I/Imax	h k l
30.91	100	0 4 1
35.20	39	2 5 0
29.24	34	1 3 1
26.42	31	1 2 1
43.63	31	0 0 2
50.39	29	0 8 1
32.81	26	1 4 1
34.77	26	2 3 1
50.23	22	4 2 1
57.25	20	2 5 2